# 1
The following is a calculated powder X-ray diffraction pattern of Pr4TlInHg2. It was derived from the PBE geometry in Alexandria, using Cu Kα (λ = 1.5418 Å).

Atomic structure:
Cell lengths 9.5533, 9.5533, 9.5533 Å; angles 33.57, 33.57, 33.57 degrees
Element x y z (fractional)
Pr 0.1248 0.1248 0.1248
Pr 0.3748 0.3748 0.3748
Pr 0.6252 0.6252 0.6252
Pr 0.8752 0.8752 0.8752
Tl 0.5000 0.5000 0.5000
In 0.0000 0.0000 0.0000
Hg 0.2508 0.2508 0.2508
Hg 0.7492 0.7492 0.7492

Main lines, by angle (10° ≤ 2θ ≤ 90°):
18.86°, I = 0.8
19.71°, I = 0.9
22.80°, I = 1.5
32.46°, I = 100.0
46.56°, I = 18.4
52.45°, I = 0.8
57.91°, I = 38.6
67.97°, I = 11.9
77.36°, I = 16.7
86.41°, I = 4.3

# 2
The following is a calculated powder X-ray diffraction pattern of Tl2InHgPt. It was derived from the PBE geometry in Alexandria, using Cu Kα (λ = 1.5418 Å).

Atomic structure:
Cell lengths 5.3763, 5.3763, 5.2519 Å; angles 90.00, 90.00, 90.00 degrees
Element x y z (fractional)
Tl 0.0000 0.5000 0.0000
Tl 0.5000 0.0000 0.0000
In 0.0000 0.0000 0.5000
Hg 0.5000 0.5000 0.5000
Pt 0.0000 0.0000 0.0000

Main lines, by angle (10° ≤ 2θ ≤ 90°):
16.88°, I = 23.4
23.68°, I = 42.6
29.00°, I = 95.8
33.33°, I = 100.0
34.14°, I = 46.9
47.85°, I = 36.8
48.46°, I = 71.0
56.93°, I = 29.3
60.09°, I = 37.5
89.70°, I = 26.4

# 3
The following is a calculated powder X-ray diffraction pattern of PuIn3Hg12. It was derived from the PBE geometry in Alexandria, using Cu Kα (λ = 1.5418 Å).

Atomic structure:
Cell lengths 4.9167, 4.2481, 20.2307 Å; angles 90.00, 96.08, 90.00 degrees
Element x y z (fractional)
Pu 0.0000 0.0000 0.0000
In 0.0000 0.0000 0.5000
In 0.0572 0.0000 0.2501
In 0.9428 0.0000 0.7499
Hg 0.0144 0.5000 0.3743
Hg 0.0568 0.5000 0.1247
Hg 0.4445 0.5000 0.7539
Hg 0.4491 0.0000 0.8801
Hg 0.4823 0.0000 0.6255
Hg 0.5000 0.5000 0.0000
Hg 0.5000 0.5000 0.5000
Hg 0.5177 0.0000 0.3745
Hg 0.5509 0.0000 0.1199
Hg 0.5555 0.5000 0.2461
Hg 0.9432 0.5000 0.8753
Hg 0.9856 0.5000 0.6257

Main lines, by angle (10° ≤ 2θ ≤ 90°):
32.04°, I = 100.0
34.19°, I = 88.2
35.71°, I = 40.4
36.77°, I = 29.7
42.56°, I = 25.4
49.15°, I = 11.8
56.73°, I = 21.7
57.48°, I = 16.5
60.52°, I = 15.6
64.49°, I = 16.3